Entry 1:
For SmCo12B6, a GGA-PBE-relaxed structure gives the computed powder X-ray diffraction pattern in this record (a wavelength of 1.5418 Å).
Intensities are scaled so that the largest is 100.

Cell and atoms:
abc: 9.4130 9.4130 7.4327
angles: 90.00 90.00 120.00
Space group R-3m (No. 166, hexagonal axes)
Inequivalent atoms, fractional coordinates:
Sm (0.0000, 0.0000, 0.0000) x3
Co (0.0000, 0.3673, 0.5000) x18
Co (0.0904, 0.1807, 0.3671) x18
B (0.0383, 0.5191, 0.2866) x18

Principal peaks in the range 2θ = 10–90°, by angle:
- 2.846 Å, rel. 14, (2 1 1)
- 2.746 Å, rel. 40, (2 0 2)
- 2.717 Å, rel. 32, (3 0 0)
- 2.192 Å, rel. 57, (1 1 3)
- 2.163 Å, rel. 100, (1 3 1)
- 1.932 Å, rel. 23, (3 1 2)
- 1.831 Å, rel. 23, (3 0 3)
- 1.569 Å, rel. 22, (3 3 0)
- 1.493 Å, rel. 18, (5 0 2)
- 1.445 Å, rel. 12, (1 4 3)

***

Entry 2:
For VH, a GGA-PBE-relaxed structure gives the computed powder X-ray diffraction pattern in this record (a wavelength of 1.5418 Å).
Intensities are scaled so that the largest is 100.

Cell and atoms:
abc: 2.7356 2.7356 4.9360
angles: 90.00 90.00 120.00
Space group P6_3/mmc (No. 194)
Inequivalent atoms, fractional coordinates:
V (0.0000, 0.0000, 0.0000) x2
H (0.3333, 0.6667, 0.2500) x2

Principal peaks in the range 2θ = 10–90°, by angle:
- 2.468 Å, rel. 37, (0 0 2)
- 2.369 Å, rel. 100, (1 0 0)
- 1.709 Å, rel. 70, (1 0 2)
- 1.368 Å, rel. 16, (1 1 0)
- 1.234 Å, rel. 4, (0 0 4)
- 1.196 Å, rel. 18, (1 1 2)
- 1.185 Å, rel. 9, (2 0 0)
- 1.094 Å, rel. 14, (1 0 4)